For Cs2MnCl2F2, a crystal structure in Alexandria, relaxed with PBE+U gives the simulated powder diffractogram in this record (CuKα).
No peak broadening, texture or thermal motion is included.

Top 10 peaks for 10° ≤ 2θ ≤ 90°, low angle first:
- 21.4 deg, 4.155 Å, intensity 34
- 24.8 deg, 3.594 Å, intensity 64
- 26.7 deg, 3.340 Å, intensity 100
- 33.0 deg, 2.718 Å, intensity 45
- 34.5 deg, 2.603 Å, intensity 75
- 38.1 deg, 2.362 Å, intensity 57
- 46.0 deg, 1.974 Å, intensity 25
- 51.2 deg, 1.783 Å, intensity 25
- 51.8 deg, 1.764 Å, intensity 22
- 59.2 deg, 1.560 Å, intensity 22

Structural model:
a b c (Å): 8.9556 8.9556 8.9556
angles (deg): 149.42 149.42 43.80
Atoms (fractional coordinates):
Cs1 0.1284 0.1284 0.0000
Cs2 0.8716 0.8716 0.0000
Mn1 0.5000 0.5000 0.0000
Cl1 0.3498 0.3498 0.0000
Cl2 0.6502 0.6502 0.0000
F1 0.0000 0.5000 0.5000
F2 0.5000 0.0000 0.5000